This entry pairs a crystal structure of Ho4Co3B6 with its computed XRD peak list. Radiation: Cu Ka. Structure: a crystal structure in the Materials Project, relaxed with PBE.
Neutral-atom scattering factors, no anomalous dispersion.

The 6 most intense peaks (2θ from 15° to 90°), sorted by position:
Position (°2θ), d_spacing, I (rel.)
24.49, 3.635, 38
33.92, 2.643, 100
34.84, 2.575, 23
42.28, 2.137, 71
60.70, 1.526, 21
61.97, 1.497, 18

Crystal structure
a b c (Å): 7.8836 7.8836 7.8836
angles (deg): 39.17 39.17 39.17
Sites, in units of the cell vectors:
Ho: 0.0884 0.0884 0.0884
Ho: 0.2450 0.2450 0.2450
Ho: 0.7550 0.7550 0.7550
Ho: 0.9116 0.9116 0.9116
Co: 0.3874 0.3874 0.3874
Co: 0.5000 0.5000 0.5000
Co: 0.6126 0.6126 0.6126
B: 0.0000 0.3318 0.6682
B: 0.0000 0.6682 0.3318
B: 0.3318 0.0000 0.6682
B: 0.3318 0.6682 0.0000
B: 0.6682 0.0000 0.3318
B: 0.6682 0.3318 0.0000